[1]
For Li4SnP6O18, a DFT-relaxed cell (GGA-PBE, the Materials Project) gives the calculated powder diffraction line list in this record (a wavelength of 1.5418 Å).
Lines closer than 0.1° are merged.

Atomic structure:
Cell lengths 7.3037, 7.4938, 7.5859 Å; angles 113.77, 104.85, 97.95 degrees
Positions (direct):
Li1 0.0000 0.0000 0.0000
Li2 0.0000 0.3611 0.2907
Li3 0.3545 0.1396 0.3979
Li4 0.7100 0.2678 0.8531
Sn1 0.7737 0.8369 0.4635
P1 0.0822 0.3126 0.7363
P2 0.0838 0.6490 0.0976
P3 0.3469 0.4056 0.1385
P4 0.3582 0.8657 0.6673
P5 0.6105 0.9875 0.0811
P6 0.6141 0.6261 0.7467
O1 0.0643 0.5399 0.8551
O2 0.0993 0.2768 0.5342
O3 0.1084 0.8705 0.1622
O4 0.1424 0.8271 0.5712
O5 0.2115 0.2700 0.1831
O6 0.2882 0.3214 0.8907
O7 0.2954 0.6230 0.2028
O8 0.4085 0.9674 0.9149
O9 0.4086 0.6488 0.6237
O10 0.5049 0.9866 0.6196
O11 0.5640 0.4503 0.2332
O12 0.5757 0.0346 0.2782
O13 0.5912 0.4084 0.6918
O14 0.6260 0.7525 0.9834
O15 0.7823 0.1175 0.0721
O16 0.7849 0.7460 0.7219
O17 0.9195 0.1646 0.7420
O18 0.9252 0.5240 0.1261

Largest 10 diffraction maxima, by intensity, 10 to 80 degrees two-theta:
two_theta  Rel. int.
15.97  100
13.42  100
32.21  97
28.96  92
24.75  85
14.06  79
28.08  74
30.80  67
21.18  65
35.70  62

=====

[2]
For Dy2ScNbO7, a DFT-relaxed cell (GGA-PBE, the Materials Project) gives the calculated powder diffraction line list in this record (a wavelength of 1.5418 Å).
Lines closer than 0.1° are merged.

Atomic structure:
Cell lengths 7.3698, 7.3698, 7.3698 Å; angles 120.75, 119.26, 89.99 degrees
Positions (direct):
Dy1 0.0000 0.0000 0.0000
Dy2 0.5000 0.0000 0.0000
Dy3 0.5000 0.0000 0.5000
Dy4 0.5000 0.5000 0.5000
Sc1 0.0000 0.0000 0.5000
Sc2 0.0000 0.5000 0.0000
Nb1 0.0000 0.5000 0.5000
Nb2 0.5000 0.5000 0.0000
O1 0.0955 0.4212 0.2658
O2 0.0955 0.8298 0.6743
O3 0.1000 0.8500 0.2500
O4 0.3241 0.5741 0.7500
O5 0.3446 0.1702 0.7658
O6 0.3446 0.5788 0.1743
O7 0.3788 0.1288 0.2500
O8 0.6212 0.8712 0.7500
O9 0.6554 0.4212 0.8257
O10 0.6554 0.8298 0.2342
O11 0.6759 0.4259 0.2500
O12 0.9000 0.1500 0.7500
O13 0.9045 0.1702 0.3257
O14 0.9045 0.5788 0.7342

Largest 10 diffraction maxima, by intensity, 10 to 80 degrees two-theta:
two_theta  Rel. int.
29.47  100
29.93  100
49.48  65
34.43  61
14.61  30
58.39  30
59.18  27
48.89  18
58.63  16
50.08  15

=====

[3]
For SnN2F2, a DFT-relaxed cell (GGA-PBE, the Materials Project) gives the calculated powder diffraction line list in this record (a wavelength of 1.5418 Å).
Lines closer than 0.1° are merged.

Atomic structure:
Cell lengths 5.1323, 5.1323, 3.7374 Å; angles 106.69, 106.69, 62.10 degrees
Positions (direct):
Sn1 0.0000 0.0000 0.0000
N1 0.4620 0.4620 0.0939
N2 0.5380 0.5380 0.9061
F1 0.1724 0.1724 0.6365
F2 0.8276 0.8276 0.3635

Largest 10 diffraction maxima, by intensity, 10 to 80 degrees two-theta:
two_theta  Rel. int.
19.90  100
21.45  54
33.86  39
52.34  35
38.02  33
25.29  33
27.19  30
38.72  26
35.21  24
55.52  23

=====

[4]
For Ta3Al2CoC, a DFT-relaxed cell (GGA-PBE, the Materials Project) gives the calculated powder diffraction line list in this record (a wavelength of 1.5418 Å).
Lines closer than 0.1° are merged.

Atomic structure:
Cell lengths 8.2081, 8.2081, 8.2081 Å; angles 60.00, 60.00, 60.00 degrees
Positions (direct):
Ta1 0.0639 0.0639 0.6861
Ta2 0.0639 0.6861 0.0639
Ta3 0.0639 0.6861 0.6861
Ta4 0.3139 0.3139 0.9361
Ta5 0.3139 0.9361 0.3139
Ta6 0.3139 0.9361 0.9361
Ta7 0.6861 0.0639 0.0639
Ta8 0.6861 0.0639 0.6861
Ta9 0.6861 0.6861 0.0639
Ta10 0.9361 0.3139 0.3139
Ta11 0.9361 0.3139 0.9361
Ta12 0.9361 0.9361 0.3139
Al1 0.2932 0.2932 0.2932
Al2 0.2932 0.2932 0.6204
Al3 0.2932 0.6204 0.2932
Al4 0.3796 0.7068 0.7068
Al5 0.6204 0.2932 0.2932
Al6 0.7068 0.3796 0.7068
Al7 0.7068 0.7068 0.3796
Al8 0.7068 0.7068 0.7068
Co1 0.0000 0.5000 0.5000
Co2 0.5000 0.0000 0.5000
Co3 0.5000 0.5000 0.0000
Co4 0.5000 0.5000 0.5000
C1 0.0000 0.0000 0.0000
C2 0.0000 0.0000 0.5000
C3 0.0000 0.5000 0.0000
C4 0.5000 0.0000 0.0000

Largest 10 diffraction maxima, by intensity, 10 to 80 degrees two-theta:
two_theta  Rel. int.
40.37  100
37.97  68
68.60  57
33.65  52
13.21  38
30.81  31
44.13  25
56.63  20
65.86  18
70.22  14